No. 1
Starting from the GGA-PBE geometry in OQMD, the powder XRD pattern of TbMg5Cd2 was computed for CuKα.

Structural model:
```
data_TbMg5Cd2
_space_group_name_H-M_alt 'A m m 2'
_space_group_IT_number 38
_cell_length_a 5.0079
_cell_length_b 6.2544
_cell_length_c 11.8250
_cell_angle_alpha 90.00
_cell_angle_beta 90.00
_cell_angle_gamma 90.00
loop_
_space_group_symop_operation_xyz
'x,y,z'
'-x,-y,z'
'-x,y,z'
'x,-y,z'
'x,y+1/2,z+1/2'
'-x,-y+1/2,z+1/2'
'-x,y+1/2,z+1/2'
'x,-y+1/2,z+1/2'
loop_
_atom_site_label
_atom_site_type_symbol
_atom_site_fract_x
_atom_site_fract_y
_atom_site_fract_z
Tb1 Tb 0.0000 0.0000 0.0000
Mg1 Mg 0.0000 0.2464 0.7421
Mg2 Mg 0.5000 0.0000 0.6259
Mg3 Mg 0.5000 0.2483 0.8880
Cd1 Cd 0.0000 0.0000 0.4680
Cd2 Cd 0.5000 0.0000 0.1562
```

Principal peaks in the range 10° ≤ 2θ ≤ 80°, sorted by position:
2θ 14.98, I 390; 2θ 16.03, I 373; 2θ 23.28, I 670; 2θ 28.54, I 256; 2θ 32.39, I 332; 2θ 35.25, I 602; 2θ 35.86, I 389; 2θ 37.15, I 1000

***

No. 2
Starting from the GGA-PBE geometry in OQMD, the powder XRD pattern of YMgCd2 was computed for CuKα.

Structural model:
```
data_YMgCd2
_space_group_name_H-M_alt 'P m m n'
_space_group_IT_number 59
_cell_length_a 6.8129
_cell_length_b 6.8610
_cell_length_c 4.0837
_cell_angle_alpha 90.00
_cell_angle_beta 90.00
_cell_angle_gamma 90.00
loop_
_space_group_symop_operation_xyz
'x,y,z'
'-x,-y,-z'
'-x+1/2,-y+1/2,z'
'x+1/2,y+1/2,-z'
'x+1/2,-y,-z'
'-x+1/2,y,z'
'-x,y+1/2,-z'
'x,-y+1/2,z'
loop_
_atom_site_label
_atom_site_type_symbol
_atom_site_fract_x
_atom_site_fract_y
_atom_site_fract_z
Y1 Y 0.2500 0.2500 0.0000
Mg1 Mg 0.2500 0.7500 0.0007
Cd1 Cd 0.0000 0.0000 0.5000
```

Principal peaks in the range 10° ≤ 2θ ≤ 80°, sorted by position:
2θ 34.13, I 1000; 2θ 34.28, I 988; 2θ 37.20, I 787; 2θ 44.36, I 236; 2θ 59.24, I 385; 2θ 65.02, I 287; 2θ 65.29, I 283; 2θ 75.12, I 193

***

No. 3
Starting from the GGA-PBE geometry in OQMD, the powder XRD pattern of YMgCd2 was computed for CuKα.

Structural model:
```
data_YMgCd2
_space_group_name_H-M_alt 'P 63/m m c'
_space_group_IT_number 194
_space_group_name_Hall '-P 6c 2c'
_cell_length_a 5.1189
_cell_length_b 5.1189
_cell_length_c 8.6372
_cell_angle_alpha 90.00
_cell_angle_beta 90.00
_cell_angle_gamma 120.00
loop_
_atom_site_label
_atom_site_type_symbol
_atom_site_fract_x
_atom_site_fract_y
_atom_site_fract_z
Y1 Y 0.0000 0.0000 0.0000
Mg1 Mg 0.3333 0.6667 0.2500
Cd1 Cd 0.3333 0.6667 0.5927
```

Principal peaks in the range 10° ≤ 2θ ≤ 80°, sorted by position:
2θ 20.57, I 264; 2θ 22.54, I 391; 2θ 35.06, I 1000; 2θ 37.24, I 672; 2θ 40.99, I 259; 2θ 46.80, I 177; 2θ 52.07, I 247; 2θ 64.33, I 253

***

No. 4
Starting from the GGA-PBE geometry in OQMD, the powder XRD pattern of CdMo3N2 was computed for CuKα.

Structural model:
```
data_CdMo3N2
_space_group_name_H-M_alt 'P 63/m m c'
_space_group_IT_number 194
_space_group_name_Hall '-P 6c 2c'
_cell_length_a 3.1364
_cell_length_b 3.1364
_cell_length_c 18.6418
_cell_angle_alpha 90.00
_cell_angle_beta 90.00
_cell_angle_gamma 120.00
loop_
_atom_site_label
_atom_site_type_symbol
_atom_site_fract_x
_atom_site_fract_y
_atom_site_fract_z
Cd1 Cd 0.0000 0.0000 0.2500
Mo1 Mo 0.0000 0.0000 0.0000
Mo2 Mo 0.3333 0.6667 0.1209
N1 N 0.3333 0.6667 0.5656
```

Principal peaks in the range 10° ≤ 2θ ≤ 80°, sorted by position:
2θ 33.33, I 176; 2θ 36.09, I 140; 2θ 38.36, I 1000; 2θ 38.64, I 241; 2θ 58.89, I 260; 2θ 69.74, I 155; 2θ 72.49, I 145; 2θ 72.68, I 222

***

No. 5
Starting from the GGA-PBE geometry in OQMD, the powder XRD pattern of CdMo4PN2 was computed for CuKα.

Structural model:
```
data_CdMo4PN2
_space_group_name_H-M_alt 'P -6 m 2'
_space_group_IT_number 187
_space_group_name_Hall 'P -6 2'
_cell_length_a 2.9735
_cell_length_b 2.9735
_cell_length_c 13.7781
_cell_angle_alpha 90.00
_cell_angle_beta 90.00
_cell_angle_gamma 120.00
loop_
_atom_site_label
_atom_site_type_symbol
_atom_site_fract_x
_atom_site_fract_y
_atom_site_fract_z
Cd1 Cd 0.0000 0.0000 0.0000
Mo1 Mo 0.0000 0.0000 0.3700
Mo2 Mo 0.3333 0.6667 0.1778
P1 P 0.3333 0.6667 0.5000
N1 N 0.6667 0.3333 0.2691
```

Principal peaks in the range 10° ≤ 2θ ≤ 80°, sorted by position:
2θ 32.49, I 188; 2θ 34.84, I 267; 2θ 37.28, I 200; 2θ 40.15, I 1000; 2θ 48.38, I 143; 2θ 62.47, I 225; 2θ 65.16, I 198; 2θ 76.90, I 142

***

No. 6
Starting from the GGA-PBE geometry in OQMD, the powder XRD pattern of PuCdMo was computed for CuKα.

Structural model:
```
data_PuCdMo
_space_group_name_H-M_alt 'F -4 3 m'
_space_group_IT_number 216
_space_group_name_Hall 'F -4 2 3'
_cell_length_a 6.5341
_cell_length_b 6.5341
_cell_length_c 6.5341
_cell_angle_alpha 90.00
_cell_angle_beta 90.00
_cell_angle_gamma 90.00
loop_
_atom_site_label
_atom_site_type_symbol
_atom_site_fract_x
_atom_site_fract_y
_atom_site_fract_z
Pu1 Pu 0.0000 0.0000 0.0000
Cd1 Cd 0.0000 0.0000 0.5000
Mo1 Mo 0.2500 0.2500 0.7500
```

Principal peaks in the range 10° ≤ 2θ ≤ 80°, sorted by position:
2θ 23.58, I 286; 2θ 27.30, I 398; 2θ 38.99, I 1000; 2θ 46.07, I 152; 2θ 48.25, I 117; 2θ 56.32, I 170; 2θ 63.69, I 154; 2θ 70.62, I 347

***

No. 7
Starting from the GGA-PBE geometry in OQMD, the powder XRD pattern of SrCdMo was computed for CuKα.

Structural model:
```
data_SrCdMo
_space_group_name_H-M_alt 'F -4 3 m'
_space_group_IT_number 216
_space_group_name_Hall 'F -4 2 3'
_cell_length_a 7.3435
_cell_length_b 7.3435
_cell_length_c 7.3435
_cell_angle_alpha 90.00
_cell_angle_beta 90.00
_cell_angle_gamma 90.00
loop_
_atom_site_label
_atom_site_type_symbol
_atom_site_fract_x
_atom_site_fract_y
_atom_site_fract_z
Sr1 Sr 0.0000 0.0000 0.0000
Cd1 Cd 0.2500 0.2500 0.7500
Mo1 Mo 0.2500 0.2500 0.2500
```

Principal peaks in the range 10° ≤ 2θ ≤ 80°, sorted by position:
2θ 20.95, I 211; 2θ 24.24, I 217; 2θ 34.55, I 1000; 2θ 40.75, I 112; 2θ 49.66, I 173; 2θ 56.00, I 79; 2θ 61.90, I 351; 2θ 72.86, I 108

***

No. 8
Starting from the GGA-PBE geometry in OQMD, the powder XRD pattern of NbCdNO was computed for CuKα.

Structural model:
```
data_NbCdNO
_space_group_name_H-M_alt 'P c a 21'
_space_group_IT_number 29
_cell_length_a 6.8908
_cell_length_b 6.9886
_cell_length_c 5.5677
_cell_angle_alpha 90.00
_cell_angle_beta 90.00
_cell_angle_gamma 90.00
loop_
_space_group_symop_operation_xyz
'x,y,z'
'-x,-y,z+1/2'
'-x+1/2,y,z+1/2'
'x+1/2,-y,z'
loop_
_atom_site_label
_atom_site_type_symbol
_atom_site_fract_x
_atom_site_fract_y
_atom_site_fract_z
Nb1 Nb 0.1198 0.0770 0.0000
Cd1 Cd 0.1774 0.6266 0.9427
N1 N 0.1058 0.0621 0.6434
O1 O 0.0690 0.3300 0.0771
```

Principal peaks in the range 10° ≤ 2θ ≤ 80°, sorted by position:
2θ 28.64, I 830; 2θ 30.51, I 1000; 2θ 32.15, I 469; 2θ 32.94, I 406; 2θ 37.13, I 124; 2θ 43.59, I 433; 2θ 50.28, I 354; 2θ 56.29, I 179

***

No. 9
Starting from the GGA-PBE geometry in OQMD, the powder XRD pattern of Ta2Nb4Cd3N3 was computed for CuKα.

Structural model:
```
data_Ta2Nb4Cd3N3
_space_group_name_H-M_alt 'C 1 2/c 1'
_space_group_IT_number 15
_cell_length_a 9.4882
_cell_length_b 5.4826
_cell_length_c 14.7611
_cell_angle_alpha 90.00
_cell_angle_beta 102.37
_cell_angle_gamma 90.00
loop_
_space_group_symop_operation_xyz
'x,y,z'
'-x,-y,-z'
'-x,y,-z+1/2'
'x,-y,z+1/2'
'x+1/2,y+1/2,z'
'-x+1/2,-y+1/2,-z'
'-x+1/2,y+1/2,-z+1/2'
'x+1/2,-y+1/2,z+1/2'
loop_
_atom_site_label
_atom_site_type_symbol
_atom_site_fract_x
_atom_site_fract_y
_atom_site_fract_z
Ta1 Ta 0.0598 0.0858 0.4202
Nb1 Nb 0.1105 0.4226 0.5807
Nb2 Nb 0.2202 0.4135 0.9193
Cd1 Cd 0.0000 0.4126 0.2500
Cd2 Cd 0.1645 0.0827 0.7483
N1 N 0.0795 0.2395 0.0000
N2 N 0.2500 0.2500 0.5000
```

Principal peaks in the range 10° ≤ 2θ ≤ 80°, sorted by position:
2θ 32.68, I 212; 2θ 37.42, I 211; 2θ 37.79, I 1000; 2θ 50.52, I 161; 2θ 58.33, I 195; 2θ 67.76, I 171; 2θ 71.38, I 186; 2θ 71.62, I 147

***

No. 10
Starting from the GGA-PBE geometry in OQMD, the powder XRD pattern of Nb4TlCdN2 was computed for CuKα.

Structural model:
```
data_Nb4TlCdN2
_space_group_name_H-M_alt 'P -6 m 2'
_space_group_IT_number 187
_space_group_name_Hall 'P -6 2'
_cell_length_a 3.2096
_cell_length_b 3.2096
_cell_length_c 14.3256
_cell_angle_alpha 90.00
_cell_angle_beta 90.00
_cell_angle_gamma 120.00
loop_
_atom_site_label
_atom_site_type_symbol
_atom_site_fract_x
_atom_site_fract_y
_atom_site_fract_z
Nb1 Nb 0.0000 0.0000 0.1704
Nb2 Nb 0.3333 0.6667 0.3291
Tl1 Tl 0.0000 0.0000 0.5000
Cd1 Cd 0.3333 0.6667 0.0000
N1 N 0.6667 0.3333 0.2482
```

Principal peaks in the range 10° ≤ 2θ ≤ 80°, sorted by position:
2θ 32.20, I 223; 2θ 37.44, I 1000; 2θ 37.68, I 199; 2θ 50.38, I 165; 2θ 57.42, I 200; 2θ 67.85, I 166; 2θ 70.58, I 151; 2θ 70.73, I 186

***

No. 11
Starting from the GGA-PBE geometry in OQMD, the powder XRD pattern of CdPdNO was computed for CuKα.

Structural model:
```
data_CdPdNO
_space_group_name_H-M_alt 'P c a 21'
_space_group_IT_number 29
_cell_length_a 6.0509
_cell_length_b 7.5793
_cell_length_c 4.9785
_cell_angle_alpha 90.00
_cell_angle_beta 90.00
_cell_angle_gamma 90.00
loop_
_space_group_symop_operation_xyz
'x,y,z'
'-x,-y,z+1/2'
'-x+1/2,y,z+1/2'
'x+1/2,-y,z'
loop_
_atom_site_label
_atom_site_type_symbol
_atom_site_fract_x
_atom_site_fract_y
_atom_site_fract_z
Cd1 Cd 0.0665 0.1264 0.0000
Pd1 Pd 0.0570 0.5708 0.9897
N1 N 0.1221 0.6316 0.6081
O1 O 0.0682 0.1437 0.5380
```

Principal peaks in the range 10° ≤ 2θ ≤ 80°, sorted by position:
2θ 27.78, I 265; 2θ 29.52, I 380; 2θ 33.20, I 1000; 2θ 34.70, I 304; 2θ 36.08, I 436; 2θ 47.29, I 193; 2θ 51.31, I 226; 2θ 64.34, I 317

***

No. 12
Starting from the GGA-PBE geometry in OQMD, the powder XRD pattern of CdSbNO was computed for CuKα.

Structural model:
```
data_CdSbNO
_space_group_name_H-M_alt 'P c a 21'
_space_group_IT_number 29
_cell_length_a 6.7004
_cell_length_b 6.7632
_cell_length_c 5.6123
_cell_angle_alpha 90.00
_cell_angle_beta 90.00
_cell_angle_gamma 90.00
loop_
_space_group_symop_operation_xyz
'x,y,z'
'-x,-y,z+1/2'
'-x+1/2,y,z+1/2'
'x+1/2,-y,z'
loop_
_atom_site_label
_atom_site_type_symbol
_atom_site_fract_x
_atom_site_fract_y
_atom_site_fract_z
Cd1 Cd 0.1095 0.1543 0.0000
Sb1 Sb 0.1176 0.6496 0.9720
N1 N 0.0987 0.4266 0.2273
O1 O 0.0615 0.1207 0.6083
```

Principal peaks in the range 10° ≤ 2θ ≤ 80°, sorted by position:
2θ 29.59, I 479; 2θ 31.09, I 1000; 2θ 31.89, I 447; 2θ 33.71, I 787; 2θ 44.06, I 334; 2θ 48.87, I 200; 2θ 58.00, I 200; 2θ 59.55, I 220

***

No. 13
Starting from the GGA-PBE geometry in OQMD, the powder XRD pattern of SrCdNO was computed for CuKα.

Structural model:
```
data_SrCdNO
_space_group_name_H-M_alt 'P c a 21'
_space_group_IT_number 29
_cell_length_a 6.5639
_cell_length_b 7.8091
_cell_length_c 5.8375
_cell_angle_alpha 90.00
_cell_angle_beta 90.00
_cell_angle_gamma 90.00
loop_
_space_group_symop_operation_xyz
'x,y,z'
'-x,-y,z+1/2'
'-x+1/2,y,z+1/2'
'x+1/2,-y,z'
loop_
_atom_site_label
_atom_site_type_symbol
_atom_site_fract_x
_atom_site_fract_y
_atom_site_fract_z
Sr1 Sr 0.0697 0.1476 0.0000
Cd1 Cd 0.0740 0.6174 0.0106
N1 N 0.1168 0.5885 0.6424
O1 O 0.0721 0.1274 0.5803
```

Principal peaks in the range 10° ≤ 2θ ≤ 80°, sorted by position:
2θ 26.56, I 309; 2θ 27.17, I 256; 2θ 30.63, I 449; 2θ 30.73, I 1000; 2θ 31.27, I 366; 2θ 47.64, I 269; 2θ 54.51, I 251; 2θ 57.71, I 256